The following is a calculated powder X-ray diffraction pattern of Dy6GeO12. It was derived from the GGA-PBE geometry in Alexandria, using λ = 1.5418 Å (Cu Kα).

Principal peaks in the range 10° ≤ 2θ ≤ 90°, sorted by position:
- 2θ 28.86, intensity 34.6, hkl 0 0 3
- 2θ 29.52, intensity 100.0, hkl 2 1 1
- 2θ 34.03, intensity 45.4, hkl 3 -2 2
- 2θ 48.46, intensity 30.1, hkl 2 1 4
- 2θ 49.31, intensity 27.3, hkl 1 4 0
- 2θ 57.38, intensity 14.1, hkl 3 -2 5
- 2θ 58.15, intensity 24.5, hkl 5 -1 3
- 2θ 58.52, intensity 12.0, hkl 6 -4 1

Crystal structure
Cell: 9.7787 9.7787 9.2811 Å, 90.00 90.00 120.00°
Space group R-3 (No. 148, hexagonal axes)
Inequivalent atoms, fractional coordinates:
Dy  0.0539  0.2631  0.1537 (multiplicity 18)
Ge  0.0000  0.0000  0.5000 (multiplicity 3)
O  0.0395  0.2249  0.9025 (multiplicity 18)
O  0.0423  0.1898  0.3925 (multiplicity 18)

The following is a calculated powder X-ray diffraction pattern of PmDyGe2O8. It was derived from the GGA-PBE geometry in Alexandria, using λ = 1.5418 Å (Cu Kα).

Principal peaks in the range 10° ≤ 2θ ≤ 90°, sorted by position:
- 2θ 18.92, intensity 13.5, hkl 1 0 1
- 2θ 29.10, intensity 100.0, hkl 1 1 2
- 2θ 31.30, intensity 15.1, hkl 0 0 4
- 2θ 34.88, intensity 19.9, hkl 2 0 0
- 2θ 47.56, intensity 29.2, hkl 2 0 4
- 2θ 50.16, intensity 12.5, hkl 2 2 0
- 2θ 54.36, intensity 17.1, hkl 1 1 6
- 2θ 59.05, intensity 28.3, hkl 1 3 2

Crystal structure
Cell: 5.144 5.144 11.432 Å, 90.00 90.00 90.00°
Space group I-4 (No. 82)
Inequivalent atoms, fractional coordinates:
Pm  0.000  0.000  0.000 (multiplicity 2)
Dy  0.000  0.500  0.750 (multiplicity 2)
Ge  0.000  0.000  0.500 (multiplicity 2)
Ge  0.000  0.500  0.250 (multiplicity 2)
O  0.144  0.256  0.583 (multiplicity 8)
O  0.154  0.756  0.171 (multiplicity 8)

The following is a calculated powder X-ray diffraction pattern of Dy2ZnGeO6. It was derived from the GGA-PBE geometry in Alexandria, using λ = 1.5418 Å (Cu Kα).

Principal peaks in the range 10° ≤ 2θ ≤ 90°, sorted by position:
- 2θ 18.27, intensity 21.6, hkl 0 0 1
- 2θ 30.63, intensity 100.0, hkl 1 1 1
- 2θ 34.73, intensity 34.9, hkl 2 0 0
- 2θ 39.52, intensity 11.8, hkl 2 0 1
- 2θ 44.82, intensity 15.1, hkl 1 1 2
- 2θ 49.94, intensity 20.2, hkl 2 2 0
- 2θ 51.67, intensity 24.7, hkl 2 0 2
- 2θ 59.73, intensity 30.1, hkl 3 1 1

Crystal structure
Cell: 5.166 5.166 4.856 Å, 90.00 90.00 90.00°
Space group P4mm (No. 99)
Inequivalent atoms, fractional coordinates:
Dy  0.000  0.500  0.000 (multiplicity 2)
Zn  0.000  0.000  0.552 (multiplicity 1)
Ge  0.500  0.500  0.594 (multiplicity 1)
O  0.000  0.000  0.157 (multiplicity 1)
O  0.260  0.260  0.725 (multiplicity 4)
O  0.500  0.500  0.224 (multiplicity 1)

The following is a calculated powder X-ray diffraction pattern of DyGePb. It was derived from the GGA-PBE geometry in Alexandria, using λ = 1.5418 Å (Cu Kα).

Principal peaks in the range 10° ≤ 2θ ≤ 90°, sorted by position:
- 2θ 27.46, intensity 100.0, hkl 2 0 1
- 2θ 31.21, intensity 43.7, hkl 0 0 2
- 2θ 32.12, intensity 77.3, hkl 2 2 0
- 2θ 45.39, intensity 60.0, hkl 2 2 2
- 2θ 46.06, intensity 27.4, hkl 4 0 0
- 2θ 54.46, intensity 27.1, hkl 4 2 1
- 2θ 56.69, intensity 29.7, hkl 4 0 2
- 2θ 84.83, intensity 16.9, hkl 6 2 2

Crystal structure
Cell: 7.882 7.882 5.732 Å, 90.00 90.00 90.00°
Space group P4_2/mmc (No. 131)
Inequivalent atoms, fractional coordinates:
Dy  0.000  0.255  0.000 (multiplicity 4)
Ge  0.000  0.254  0.500 (multiplicity 4)
Pb  0.275  0.500  0.500 (multiplicity 4)

The following is a calculated powder X-ray diffraction pattern of Dy2Ge3Pd9. It was derived from the GGA-PBE geometry in Alexandria, using λ = 1.5418 Å (Cu Kα).

Principal peaks in the range 10° ≤ 2θ ≤ 90°, sorted by position:
- 2θ 35.39, intensity 22.5, hkl 2 2 -3
- 2θ 35.90, intensity 14.5, hkl 5 1 -1
- 2θ 37.74, intensity 95.3, hkl 0 2 3
- 2θ 37.85, intensity 49.6, hkl 3 1 -4
- 2θ 39.89, intensity 14.4, hkl 0 0 4
- 2θ 40.18, intensity 100.0, hkl 6 0 -2
- 2θ 71.34, intensity 25.7, hkl 9 1 0
- 2θ 71.48, intensity 15.8, hkl 3 5 -4

Crystal structure
Cell: 13.456 7.780 10.074 Å, 90.00 116.19 90.00°
Space group C2/c (No. 15)
Inequivalent atoms, fractional coordinates:
Dy  0.171  0.085  0.250 (multiplicity 8)
Ge  0.086  0.238  0.500 (multiplicity 8)
Ge  0.250  0.250  0.000 (multiplicity 4)
Pd  0.000  0.368  0.250 (multiplicity 4)
Pd  0.057  0.074  0.920 (multiplicity 8)
Pd  0.104  0.410  0.054 (multiplicity 8)
Pd  0.106  0.316  0.747 (multiplicity 8)
Pd  0.227  0.411  0.423 (multiplicity 8)

The following is a calculated powder X-ray diffraction pattern of Dy2Ge6Pd21. It was derived from the GGA-PBE geometry in Alexandria, using λ = 1.5418 Å (Cu Kα).

Principal peaks in the range 10° ≤ 2θ ≤ 90°, sorted by position:
- 2θ 32.19, intensity 19.7, hkl 4 2 0
- 2θ 35.36, intensity 25.4, hkl 4 2 2
- 2θ 37.58, intensity 100.0, hkl 3 3 3
- 2θ 41.06, intensity 52.2, hkl 4 4 0
- 2θ 43.03, intensity 32.9, hkl 5 3 1
- 2θ 48.56, intensity 28.7, hkl 6 2 2
- 2θ 63.47, intensity 25.5, hkl 6 6 0
- 2θ 74.80, intensity 29.5, hkl 8 4 4

Crystal structure
Cell: 12.436 12.436 12.436 Å, 90.00 90.00 90.00°
Space group Fm-3m (No. 225)
Inequivalent atoms, fractional coordinates:
Dy  0.250  0.250  0.250 (multiplicity 8)
Ge  0.000  0.000  0.233 (multiplicity 24)
Pd  0.000  0.000  0.500 (multiplicity 4)
Pd  0.000  0.173  0.327 (multiplicity 48)
Pd  0.119  0.119  0.119 (multiplicity 32)

The following is a calculated powder X-ray diffraction pattern of Dy4Ge3Pd. It was derived from the GGA-PBE geometry in Alexandria, using λ = 1.5418 Å (Cu Kα).

Principal peaks in the range 10° ≤ 2θ ≤ 90°, sorted by position:
- 2θ 27.30, intensity 19.6, hkl 1 0 2
- 2θ 31.82, intensity 100.0, hkl 1 1 1
- 2θ 32.86, intensity 31.7, hkl 0 1 3
- 2θ 33.01, intensity 31.7, hkl 0 0 4
- 2θ 39.74, intensity 55.4, hkl 1 1 3
- 2θ 43.69, intensity 23.0, hkl 0 2 0
- 2θ 44.28, intensity 22.1, hkl 2 0 0
- 2θ 56.27, intensity 27.6, hkl 2 0 4

Crystal structure
Cell: 4.091 4.143 10.856 Å, 90.00 90.00 90.00°
Space group Pmm2 (No. 25)
Inequivalent atoms, fractional coordinates:
Dy  0.000  0.000  0.000 (multiplicity 1)
Dy  0.000  0.500  0.496 (multiplicity 1)
Dy  0.500  0.000  0.272 (multiplicity 1)
Dy  0.500  0.500  0.776 (multiplicity 1)
Ge  0.000  0.000  0.718 (multiplicity 1)
Ge  0.000  0.500  0.222 (multiplicity 1)
Ge  0.500  0.000  0.549 (multiplicity 1)
Pd  0.500  0.500  0.053 (multiplicity 1)

The following is a calculated powder X-ray diffraction pattern of Dy2Ge3Pd5. It was derived from the GGA-PBE geometry in Alexandria, using λ = 1.5418 Å (Cu Kα).

Principal peaks in the range 10° ≤ 2θ ≤ 90°, sorted by position:
- 2θ 34.41, intensity 15.1, hkl 0 6 2
- 2θ 35.38, intensity 100.0, hkl 1 3 2
- 2θ 35.74, intensity 98.8, hkl 1 7 1
- 2θ 38.45, intensity 38.5, hkl 1 5 2
- 2θ 39.38, intensity 59.7, hkl 0 10 1
- 2θ 41.94, intensity 56.3, hkl 2 0 0
- 2θ 42.50, intensity 19.5, hkl 0 4 3
- 2θ 58.87, intensity 22.7, hkl 2 10 1

Crystal structure
Cell: 4.308 24.297 6.812 Å, 90.00 90.00 90.00°
Space group Cmc2_1 (No. 36)
Inequivalent atoms, fractional coordinates:
Dy  0.000  0.023  0.000 (multiplicity 4)
Dy  0.000  0.326  0.955 (multiplicity 4)
Ge  0.000  0.120  0.761 (multiplicity 4)
Ge  0.000  0.274  0.404 (multiplicity 4)
Ge  0.000  0.452  0.788 (multiplicity 4)
Pd  0.000  0.096  0.387 (multiplicity 4)
Pd  0.000  0.198  0.130 (multiplicity 4)
Pd  0.000  0.223  0.711 (multiplicity 4)
Pd  0.000  0.376  0.507 (multiplicity 4)
Pd  0.000  0.444  0.164 (multiplicity 4)

The following is a calculated powder X-ray diffraction pattern of DyGe3Pd3. It was derived from the GGA-PBE geometry in Alexandria, using λ = 1.5418 Å (Cu Kα).

Principal peaks in the range 10° ≤ 2θ ≤ 90°, sorted by position:
- 2θ 26.29, intensity 42.8, hkl 2 0 0
- 2θ 32.35, intensity 100.0, hkl 2 1 1
- 2θ 46.40, intensity 15.5, hkl 2 2 2
- 2θ 50.37, intensity 57.2, hkl 3 2 1
- 2θ 54.12, intensity 24.5, hkl 4 0 0
- 2θ 61.14, intensity 15.9, hkl 4 2 0
- 2θ 77.05, intensity 16.1, hkl 5 2 1
- 2θ 89.02, intensity 17.3, hkl 6 1 1

Crystal structure
Cell: 6.779 6.779 6.779 Å, 90.00 90.00 90.00°
Space group Pm-3n (No. 223)
Inequivalent atoms, fractional coordinates:
Dy  0.000  0.000  0.000 (multiplicity 2)
Ge  0.000  0.250  0.500 (multiplicity 6)
Pd  0.000  0.500  0.250 (multiplicity 6)

The following is a calculated powder X-ray diffraction pattern of DyTmGePd. It was derived from the GGA-PBE geometry in Alexandria, using λ = 1.5418 Å (Cu Kα).

Principal peaks in the range 10° ≤ 2θ ≤ 90°, sorted by position:
- 2θ 26.49, intensity 19.3, hkl 1 0 2
- 2θ 32.23, intensity 100.0, hkl 1 1 1
- 2θ 33.15, intensity 30.1, hkl 0 0 4
- 2θ 34.02, intensity 32.2, hkl 0 1 3
- 2θ 39.38, intensity 19.5, hkl 1 0 4
- 2θ 40.13, intensity 55.3, hkl 1 1 3
- 2θ 42.04, intensity 26.9, hkl 2 0 0
- 2θ 47.02, intensity 19.5, hkl 0 2 0

Crystal structure
Cell: 4.299 3.865 10.810 Å, 90.00 90.00 90.00°
Space group Amm2 (No. 38)
Inequivalent atoms, fractional coordinates:
Dy  0.000  0.000  0.000 (multiplicity 2)
Tm  0.500  0.000  0.279 (multiplicity 2)
Ge  0.000  0.000  0.724 (multiplicity 2)
Pd  0.500  0.000  0.561 (multiplicity 2)

The following is a calculated powder X-ray diffraction pattern of Pm2Dy3Ge4. It was derived from the GGA-PBE geometry in Alexandria, using λ = 1.5418 Å (Cu Kα).

Principal peaks in the range 10° ≤ 2θ ≤ 90°, sorted by position:
- 2θ 29.90, intensity 37.8, hkl 2 1 -2
- 2θ 32.16, intensity 100.0, hkl 2 2 -1
- 2θ 32.73, intensity 53.2, hkl 1 2 -2
- 2θ 33.17, intensity 59.6, hkl 2 2 0
- 2θ 33.57, intensity 91.4, hkl 1 1 2
- 2θ 36.29, intensity 38.5, hkl 3 0 0
- 2θ 36.48, intensity 47.9, hkl 0 3 1
- 2θ 37.00, intensity 93.3, hkl 1 1 -3

Crystal structure
Cell: 7.979 7.873 7.670 Å, 90.00 111.43 90.00°
Space group P2_1/c (No. 14)
Inequivalent atoms, fractional coordinates:
Pm  0.197  0.181  0.066 (multiplicity 4)
Dy  0.240  0.664  0.233 (multiplicity 4)
Dy  0.500  0.000  0.500 (multiplicity 2)
Ge  0.087  0.538  0.832 (multiplicity 4)
Ge  0.492  0.130  0.871 (multiplicity 4)

The following is a calculated powder X-ray diffraction pattern of PmDyGeS. It was derived from the GGA-PBE geometry in Alexandria, using λ = 1.5418 Å (Cu Kα).

Principal peaks in the range 10° ≤ 2θ ≤ 90°, sorted by position:
- 2θ 26.61, intensity 32.4, hkl 0 1 2
- 2θ 30.79, intensity 100.0, hkl 1 0 4
- 2θ 44.01, intensity 37.0, hkl 0 1 8
- 2θ 44.19, intensity 36.7, hkl 1 1 0
- 2θ 52.28, intensity 16.1, hkl 1 1 6
- 2θ 54.82, intensity 19.3, hkl 0 2 4
- 2θ 72.69, intensity 16.4, hkl 1 1 12
- 2θ 72.95, intensity 16.4, hkl 2 1 4

Crystal structure
Cell: 4.0994 4.0994 20.1994 Å, 90.00 90.00 120.00°
Space group R3m (No. 160, hexagonal axes)
Inequivalent atoms, fractional coordinates:
Pm  0.0000  0.0000  0.0000 (multiplicity 3)
Dy  0.0000  0.0000  0.5006 (multiplicity 3)
Ge  0.0000  0.0000  0.7525 (multiplicity 3)
S  0.0000  0.0000  0.2474 (multiplicity 3)